# Pm2Y4Te9
Computed PXRD pattern, Cu Ka. Input: DFT lattice parameters and positions (GGA-PBE).
No peak broadening, texture or thermal motion is included.

The 8 most intense peaks (15° ≤ 2θ ≤ 90°), most intense first:
- 26.17 deg, d 3.405, rel. 100
- 34.28 deg, d 2.616, rel. 73
- 40.22 deg, d 2.242, rel. 51
- 44.95 deg, d 2.017, rel. 23
- 15.59 deg, d 5.683, rel. 22
- 53.85 deg, d 1.703, rel. 19
- 67.41 deg, d 1.389, rel. 17
- 69.30 deg, d 1.356, rel. 16

Crystal structure
```
Pm2Y4Te9
1.0
7.768 0.000 0.000
-3.884 6.727 0.000
0.000 0.000 21.238
Pm Y Te
4 8 18
Direct
0.000 0.000 0.155
0.000 0.000 0.345
0.000 0.000 0.655
0.000 0.000 0.845
0.333 0.667 0.009
0.333 0.667 0.323
0.333 0.667 0.509
0.333 0.667 0.823
0.667 0.333 0.177
0.667 0.333 0.491
0.667 0.333 0.677
0.667 0.333 0.991
0.000 0.318 0.250
0.000 0.682 0.750
0.019 0.361 0.917
0.019 0.658 0.417
0.318 0.000 0.250
0.318 0.318 0.750
0.342 0.361 0.417
0.342 0.981 0.917
0.361 0.019 0.583
0.361 0.342 0.083
0.639 0.658 0.917
0.639 0.981 0.417
0.658 0.019 0.083
0.658 0.639 0.583
0.682 0.000 0.750
0.682 0.682 0.250
0.981 0.342 0.583
0.981 0.639 0.083
```